Starting from a DFT-relaxed cell (GGA-PBE, Alexandria), the powder diffraction line list of TmP2PtRh2 was computed for Cu Kα.

Structural model:
Unit cell a=6.2704 b=7.9555 c=4.1198 alpha=90.00 beta=90.00 gamma=90.00
Space group Pnnm (No. 58)
Inequivalent atoms, fractional coordinates:
Tm: 0.0000 0.0000 0.0000 x2
P: 0.2189 0.1989 0.5000 x4
Pt: 0.0000 0.5000 0.0000 x2
Rh: 0.1327 0.7385 0.5000 x4

Most intense lines, 2θ from 5° to 70°, in order of rising 2θ:
- (1 0 1), d 3.443, 25.9°, intensity 16
- (1 2 1), d 2.603, 34.5°, intensity 100
- (2 2 0), d 2.462, 36.5°, intensity 30
- (0 0 2), d 2.060, 44.0°, intensity 19
- (3 0 1), d 1.864, 48.9°, intensity 23
- (2 2 2), d 1.580, 58.4°, intensity 15

=====

Starting from a DFT-relaxed cell (GGA-PBE, Alexandria), the powder diffraction line list of YP2PtRh2 was computed for Cu Kα.

Structural model:
Unit cell a=6.2555 b=8.3269 c=4.0903 alpha=90.00 beta=90.00 gamma=90.00
Space group Pnnm (No. 58)
Inequivalent atoms, fractional coordinates:
Y: 0.0000 0.0000 0.0000 x2
P: 0.2326 0.1980 0.5000 x4
Pt: 0.0000 0.5000 0.0000 x2
Rh: 0.1131 0.7300 0.5000 x4

Most intense lines, 2θ from 5° to 70°, in order of rising 2θ:
- (1 1 0), d 5.001, 17.7°, intensity 17
- (1 2 1), d 2.644, 33.9°, intensity 100
- (2 2 0), d 2.501, 35.9°, intensity 19
- (0 4 0), d 2.082, 43.5°, intensity 15
- (0 0 2), d 2.045, 44.3°, intensity 18
- (3 0 1), d 1.858, 49.0°, intensity 15